(1)
Starting from a cell relaxed with PBE, the powder diffraction line list of Rb2YSnI6 was calculated for Cu Kα.
Intensities are scaled so that the largest is 100.

Crystal structure
Cell: 8.7212 8.7212 13.6247 Å, 90.00 90.00 90.00°
Space group I4/mmm (No. 139)
Inequivalent atoms, fractional coordinates:
1 Rb 0.0000 0.5000 0.2500
2 Y 0.0000 0.0000 0.0000
3 Sn 0.0000 0.0000 0.5000
4 I 0.0000 0.0000 0.2227
5 I 0.2453 0.2453 0.0000

Principal peaks in the range 2θ = 5–70°, sorted by position:
index	Position (°2θ)	I/Imax
0 0 2	13.00	20
1 1 0	14.36	29
2 0 2	24.23	100
0 0 4	26.16	49
2 2 0	28.96	84
2 2 4	39.42	65
4 0 0	41.41	31
4 2 2	48.56	29
4 0 4	49.65	33
6 2 0	67.98	14



(2)
Starting from a cell relaxed with PBE, the powder diffraction line list of Ba12TlPd5 was calculated for Cu Kα.
Intensities are scaled so that the largest is 100.

Crystal structure
Cell: 8.2060 14.2316 15.2919 Å, 90.00 100.11 90.00°
Space group C2/m (No. 12)
Inequivalent atoms, fractional coordinates:
1 Ba 0.1284 0.0000 0.3840
2 Ba 0.1304 0.3335 0.3892
3 Ba 0.1788 0.5000 0.1190
4 Ba 0.2182 0.1798 0.1189
5 Tl 0.0000 0.0000 0.0000
6 Pd 0.0000 0.1649 0.5000
7 Pd 0.0000 0.3334 0.0000
8 Pd 0.0000 0.5000 0.5000

Principal peaks in the range 2θ = 5–70°, sorted by position:
index	Position (°2θ)	I/Imax
0 0 2	11.76	81
1 3 -2	23.81	73
1 3 2	25.72	100
1 3 -3	26.85	48
2 0 -4	29.40	51
1 3 -5	35.39	52
0 6 0	37.96	85
3 3 1	39.87	24
1 3 -6	40.44	17
4 0 1	46.42	19



(3)
Starting from a cell relaxed with PBE, the powder diffraction line list of U2Se2N was calculated for Cu Kα.
Intensities are scaled so that the largest is 100.

Crystal structure
Cell: 6.6780 11.2390 5.6706 Å, 90.00 90.00 90.00°
Space group Ibam (No. 72)
Inequivalent atoms, fractional coordinates:
1 U 0.2051 0.0989 0.0000
2 Se 0.1502 0.3534 0.0000
3 N 0.0000 0.0000 0.2500

Principal peaks in the range 2θ = 5–70°, sorted by position:
index	Position (°2θ)	I/Imax
1 2 1	26.01	100
2 0 0	26.70	50
0 0 2	31.55	68
0 4 0	31.85	43
2 1 1	32.11	50
1 4 1	38.20	50
2 3 1	39.49	35
2 0 2	41.80	35
0 4 2	45.45	36
3 2 1	46.72	29